# 1
Structure and theoretical powder X-ray diffraction pattern of Nd3DySe4 (DFT lattice parameters and positions (PBE); Cu Kα (λ = 1.5418 Å)).
Lines closer than 0.1° are merged.

Most intense lines, 2θ = 10–90°, by intensity:
two_theta	d (Å)	I_rel	index
30.2	2.961	100	1 2 1
30.1	2.971	50	2 0 -2
43.0	2.104	38	3 2 -1
43.3	2.091	37	1 2 -3
53.8	1.703	19	2 4 -2
42.9	2.110	19	2 0 2
43.6	2.078	18	0 4 0
70.7	1.332	17	3 2 3
26.2	3.405	13	1 2 -1
62.8	1.481	12	2 4 2

```
data_Nd3DySe4
_chemical_formula_sum 'Nd6 Dy2 Se8'
_symmetry_space_group_name_H-M 'P 1 2/c 1'
_symmetry_Int_Tables_number 13
_cell_length_a 7.318
_cell_length_b 8.311
_cell_length_c 7.261
_cell_angle_alpha 90.00
_cell_angle_beta 109.23
_cell_angle_gamma 90.00
loop_
_symmetry_equiv_pos_as_xyz
'x,y,z'
'-x,-y,-z'
'-x,y,-z+1/2'
'x,-y,z+1/2'
loop_
_atom_site_label
_atom_site_fract_x
_atom_site_fract_y
_atom_site_fract_z
_atom_site_occupancy
Nd1 0.000 0.123 0.250 1
Nd2 0.000 0.374 0.750 1
Nd3 0.500 0.124 0.750 1
Dy1 0.500 0.374 0.250 1
Se1 0.255 0.131 0.005 1
Se2 0.260 0.380 0.500 1
```

---

# 2
Structure and theoretical powder X-ray diffraction pattern of Nd4DySe7 (DFT lattice parameters and positions (PBE); Cu Kα (λ = 1.5418 Å)).
Lines closer than 0.1° are merged.

Most intense lines, 2θ = 10–90°, by intensity:
two_theta	d (Å)	I_rel	index
29.3	3.048	100	3 1 -1
30.8	2.900	98	3 1 -2
22.7	3.910	93	2 0 -3
22.3	3.986	78	2 0 2
31.9	2.805	68	3 1 1
44.3	2.044	59	0 2 0
39.1	2.302	50	1 1 4
34.0	2.638	50	3 1 -3
29.7	3.008	47	3 1 0
36.3	2.477	46	1 1 -4

```
data_Nd4DySe7
_chemical_formula_sum 'Nd8 Dy2 Se14'
_symmetry_space_group_name_H-M 'C 1 m 1'
_symmetry_Int_Tables_number 8
_cell_length_a 13.785
_cell_length_b 4.088
_cell_length_c 12.461
_cell_angle_alpha 90.00
_cell_angle_beta 104.90
_cell_angle_gamma 90.00
loop_
_symmetry_equiv_pos_as_xyz
'x,y,z'
'x,-y,z'
'x+1/2,y+1/2,z'
'x+1/2,-y+1/2,z'
loop_
_atom_site_label
_atom_site_fract_x
_atom_site_fract_y
_atom_site_fract_z
_atom_site_occupancy
Nd1 0.000 0.000 0.000 1
Nd2 0.087 0.500 0.383 1
Nd3 0.189 0.000 0.767 1
Nd4 0.387 0.500 0.573 1
Dy1 0.275 0.500 0.152 1
Se1 0.048 0.500 0.626 1
Se2 0.131 0.500 0.931 1
Se3 0.154 0.000 0.223 1
Se4 0.226 0.000 0.524 1
Se5 0.348 0.500 0.791 1
Se6 0.383 0.000 0.078 1
Se7 0.426 0.500 0.354 1
```